Entry 1:
The following is a calculated X-ray diffraction stick pattern of Nd2ErIn3Te6. It was derived from the GGA-PBE geometry in Alexandria, using Cu Kα.
Intensities are scaled so that the largest is 100.

Structural model:
Cell lengths 7.762, 13.441, 8.513 Å; angles 90.00, 107.70, 90.00 degrees
Space group C2/m (No. 12)
Symmetry-distinct sites (fractional):
Nd 0.000 0.166 0.000 x4
Er 0.000 0.500 0.000 x2
In 0.000 0.000 0.500 x2
In 0.000 0.331 0.500 x4
Te 0.236 0.338 0.222 x8
Te 0.249 0.500 0.775 x4

Main lines, sorted by position (10° ≤ 2θ ≤ 90°):
2θ = 10.9°, d = 8.110 Å, I = 5.9
2θ = 27.3°, d = 3.271 Å, I = 100.0
2θ = 37.6°, d = 2.394 Å, I = 39.6
2θ = 40.3°, d = 2.240 Å, I = 35.7
2θ = 44.7°, d = 2.027 Å, I = 7.1
2θ = 49.3°, d = 1.849 Å, I = 19.3
2θ = 56.2°, d = 1.636 Å, I = 12.0
2θ = 61.7°, d = 1.503 Å, I = 16.1
2θ = 65.5°, d = 1.426 Å, I = 16.1
2θ = 71.4°, d = 1.321 Å, I = 11.6

Entry 2:
The following is a calculated X-ray diffraction stick pattern of NdErThIn. It was derived from the GGA-PBE geometry in Alexandria, using Cu Kα.
Intensities are scaled so that the largest is 100.

Structural model:
Cell lengths 7.783, 7.783, 7.783 Å; angles 90.00, 90.00, 90.00 degrees
Space group F-43m (No. 216)
Symmetry-distinct sites (fractional):
Nd 0.000 0.000 0.000 x4
Er 0.000 0.000 0.500 x4
Th 0.250 0.250 0.750 x4
In 0.250 0.250 0.250 x4

Main lines, sorted by position (10° ≤ 2θ ≤ 90°):
2θ = 19.8°, d = 4.493 Å, I = 5.9
2θ = 32.5°, d = 2.752 Å, I = 100.0
2θ = 38.4°, d = 2.347 Å, I = 3.6
2θ = 46.7°, d = 1.946 Å, I = 18.4
2θ = 51.2°, d = 1.786 Å, I = 1.7
2θ = 58.1°, d = 1.589 Å, I = 38.6
2θ = 68.2°, d = 1.376 Å, I = 11.9
2θ = 71.7°, d = 1.316 Å, I = 1.3
2θ = 77.6°, d = 1.231 Å, I = 16.6
2θ = 86.7°, d = 1.123 Å, I = 4.3

Entry 3:
The following is a calculated X-ray diffraction stick pattern of Er4In3Ni. It was derived from the GGA-PBE geometry in Alexandria, using Cu Kα.
Intensities are scaled so that the largest is 100.

Structural model:
Cell lengths 3.461, 3.461, 16.135 Å; angles 90.00, 90.00, 90.00 degrees
Space group P4/mmm (No. 123)
Symmetry-distinct sites (fractional):
Er 0.000 0.000 0.099 x2
Er 0.000 0.000 0.367 x2
In 0.500 0.500 0.234 x2
In 0.500 0.500 0.500 x1
Ni 0.500 0.500 0.000 x1

Main lines, sorted by position (10° ≤ 2θ ≤ 90°):
2θ = 30.7°, d = 2.911 Å, I = 11.5
2θ = 34.1°, d = 2.627 Å, I = 100.0
2θ = 36.7°, d = 2.447 Å, I = 49.1
2θ = 52.9°, d = 1.731 Å, I = 17.0
2θ = 54.7°, d = 1.678 Å, I = 10.2
2θ = 59.4°, d = 1.556 Å, I = 11.1
2θ = 64.5°, d = 1.445 Å, I = 32.4
2θ = 69.6°, d = 1.351 Å, I = 9.6
2θ = 88.1°, d = 1.109 Å, I = 6.8
2θ = 89.6°, d = 1.094 Å, I = 7.9

> Number 3 is which compound?

Er4In3Ni

> Number 1 is which compound?

Nd2ErIn3Te6